Diffraction record for Cs2TlVF6. The X-ray diffraction stick pattern is calculated, not measured: it uses DFT lattice parameters and positions (GGA+U) and Cu Kα (λ = 1.5418 Å).

Structure:
Cell: 9.3993 9.3993 9.3993 Å, 90.00 90.00 90.00°
Space group Fm-3m (No. 225)
Inequivalent atoms, fractional coordinates:
Cs 0.2500 0.2500 0.2500 (multiplicity 8)
Tl 0.0000 0.0000 0.0000 (multiplicity 4)
V 0.0000 0.0000 0.5000 (multiplicity 4)
F 0.0000 0.0000 0.2885 (multiplicity 24)

Largest 10 diffraction maxima, low angle first, 2θ from 15° to 90°:
2θ/deg	I_rel	hkl
16.3	12	1 1 1
26.8	100	2 2 0
31.6	14	3 1 1
38.3	31	4 0 0
41.9	10	3 3 1
47.4	40	4 2 2
55.3	20	4 4 0
62.5	21	6 2 0
75.7	23	6 4 2
88.2	11	6 6 0